Starting from a crystal structure in the Materials Project, relaxed with PBE+U, the PXRD pattern of Li3Co4SnO8 was simulated for Cu Kα, 1.54184 Å.
Kinematic intensities with the Lorentz-polarization factor, no thermal factor.

Peak list (12 most intense, 15 to 90 degrees two-theta, in order of rising 2θ)
| two_theta | I_rel |
| --- | --- |
| 17.97 | 100 |
| 20.92 | 11 |
| 34.60 | 29 |
| 34.84 | 12 |
| 36.12 | 13 |
| 36.37 | 39 |
| 41.97 | 69 |
| 42.59 | 33 |
| 46.39 | 12 |
| 60.97 | 10 |
| 61.14 | 20 |
| 61.52 | 19 |

a = 6.1002 Å, b = 6.0788 Å, c = 8.4912 Å
α = 90.00°, β = 90.46°, γ = 90.00°
Sites, in units of the cell vectors:
Li 0.0000 0.0000 0.0000
Li 0.2478 0.2522 0.7486
Li 0.2478 0.7478 0.7486
Li 0.5000 0.5000 0.5000
Li 0.7522 0.2522 0.2514
Li 0.7522 0.7478 0.2514
Co 0.0000 0.5000 0.0000
Co 0.0000 0.5000 0.5000
Co 0.2493 0.2504 0.2484
Co 0.2493 0.7496 0.2484
Co 0.5000 0.0000 0.0000
Co 0.5000 0.0000 0.5000
Co 0.7507 0.2504 0.7516
Co 0.7507 0.7496 0.7516
Sn 0.0000 0.0000 0.5000
Sn 0.5000 0.5000 0.0000
O 0.0172 0.5000 0.2541
O 0.0192 0.0000 0.2543
O 0.2460 0.2400 0.5030
O 0.2460 0.7600 0.5030
O 0.2598 0.2531 0.9946
O 0.2598 0.7469 0.9946
O 0.4819 0.5000 0.2440
O 0.4863 0.0000 0.2321
O 0.5137 0.0000 0.7679
O 0.5181 0.5000 0.7560
O 0.7402 0.2531 0.0054
O 0.7402 0.7469 0.0054
O 0.7540 0.2400 0.4970
O 0.7540 0.7600 0.4970
O 0.9808 0.0000 0.7457
O 0.9828 0.5000 0.7459